Entry 1:
Ag2HgCl4: computed powder X-ray diffraction pattern (Cu Kα X-rays), based on a DFT-relaxed cell (GGA-PBE, Alexandria).
Peak positions follow from Bragg's law for the DFT cell and can differ from measured ones.

Peak list (12 most intense, 2θ = 15–90°, by intensity)
2θ/deg, Rel. int., (hkl)
24.2, 1000, 2 1 1
47.1, 448, 2 2 4
29.1, 355, 1 0 3
28.5, 315, 2 2 0
40.8, 305, 4 0 0
37.8, 282, 3 2 1
41.2, 195, 3 0 3
27.1, 160, 2 0 2
50.9, 154, 4 1 3
23.0, 143, 1 1 2
78.7, 114, 6 2 4
47.4, 109, 1 0 5

Structural model:
a = 8.850 Å, b = 8.850 Å, c = 9.813 Å
α = 90.00°, β = 90.00°, γ = 90.00°
Space group P4_122 (No. 91)
Asymmetric unit:
Ag  0.000  0.201  0.000 x4
Ag  0.249  0.249  0.375 x4
Hg  0.219  0.500  0.750 x4
Cl  0.014  0.255  0.745 x8
Cl  0.253  0.489  0.996 x8


Entry 2:
Ag4HgCl7: computed powder X-ray diffraction pattern (Cu Kα X-rays), based on a DFT-relaxed cell (GGA-PBE, Alexandria).
Peak positions follow from Bragg's law for the DFT cell and can differ from measured ones.

Peak list (12 most intense, 2θ = 15–90°, by intensity)
2θ/deg, Rel. int., (hkl)
22.7, 1000, 0 1 -2
34.3, 956, 1 2 -1
23.1, 854, 0 1 3
45.3, 588, 1 0 5
24.7, 557, 1 1 1
31.2, 535, 1 -1 0
29.4, 431, 0 1 4
44.4, 420, -1 2 3
21.9, 405, 0 0 3
36.5, 391, 1 -1 2
17.5, 359, 0 1 -1
27.6, 348, 1 0 -2

Structural model:
a = 3.863 Å, b = 6.648 Å, c = 12.558 Å
α = 76.53°, β = 88.67°, γ = 74.43°
Space group P1 (No. 1)
Asymmetric unit:
Ag  0.000  0.000  0.000 x1
Ag  0.206  0.726  0.545 x1
Ag  0.464  0.149  0.683 x1
Ag  0.743  0.578  0.861 x1
Hg  0.601  0.363  0.273 x1
Cl  0.077  0.142  0.198 x1
Cl  0.103  0.863  0.772 x1
Cl  0.125  0.585  0.347 x1
Cl  0.385  0.283  0.911 x1
Cl  0.587  0.998  0.496 x1
Cl  0.619  0.729  0.049 x1
Cl  0.821  0.443  0.635 x1


Entry 3:
Ag3Hg2Cl8: computed powder X-ray diffraction pattern (Cu Kα X-rays), based on a DFT-relaxed cell (GGA-PBE, Alexandria).
Peak positions follow from Bragg's law for the DFT cell and can differ from measured ones.

Peak list (12 most intense, 2θ = 15–90°, by intensity)
2θ/deg, Rel. int., (hkl)
22.6, 1000, 2 0 0
20.7, 912, 1 1 1
27.2, 833, 1 3 0
24.6, 822, 0 1 2
26.7, 805, 2 1 -2
45.0, 609, 1 4 2
43.8, 532, 2 0 -4
47.6, 516, 3 4 -2
20.1, 411, 0 2 1
46.0, 353, 4 0 0
39.5, 341, 2 1 2
43.6, 294, 4 1 -2

Structural model:
a = 8.546 Å, b = 10.791 Å, c = 8.314 Å
α = 90.00°, β = 112.64°, γ = 90.00°
Space group P2_1/c (No. 14)
Asymmetric unit:
Ag  0.000  0.000  0.000 x2
Ag  0.277  0.243  0.392 x4
Hg  0.256  0.611  0.127 x4
Cl  0.016  0.243  0.991 x4
Cl  0.246  0.013  0.885 x4
Cl  0.249  0.005  0.362 x4
Cl  0.497  0.238  0.752 x4


Entry 4:
Ag5HgCl12: computed powder X-ray diffraction pattern (Cu Kα X-rays), based on a DFT-relaxed cell (GGA-PBE, Alexandria).
Peak positions follow from Bragg's law for the DFT cell and can differ from measured ones.

Peak list (12 most intense, 2θ = 15–90°, by intensity)
2θ/deg, Rel. int., (hkl)
24.0, 1000, 1 -1 1
32.9, 946, 1 2 3
24.7, 906, -1 1 1
43.1, 704, 3 0 1
33.1, 542, 2 1 -2
36.9, 539, 2 1 4
37.1, 526, 1 2 -3
27.3, 524, 2 1 0
31.2, 473, 1 -1 3
28.9, 366, 1 2 -1
45.0, 366, 0 3 2
43.4, 361, 1 2 5

Structural model:
a = 6.712 Å, b = 6.713 Å, c = 12.406 Å
α = 84.42°, β = 81.01°, γ = 69.78°
Space group P-1 (No. 2)
Asymmetric unit:
Ag  0.000  0.000  0.000 x1
Ag  0.166  0.666  0.500 x2
Ag  0.334  0.333  0.999 x2
Hg  0.500  0.000  0.500 x1
Cl  0.082  0.292  0.883 x2
Cl  0.159  0.380  0.388 x2
Cl  0.171  0.936  0.620 x2
Cl  0.252  0.041  0.116 x2
Cl  0.415  0.626  0.884 x2
Cl  0.478  0.712  0.380 x2


Entry 5:
AgHg2Cl6: computed powder X-ray diffraction pattern (Cu Kα X-rays), based on a DFT-relaxed cell (GGA-PBE, Alexandria).
Peak positions follow from Bragg's law for the DFT cell and can differ from measured ones.

Peak list (12 most intense, 2θ = 15–90°, by intensity)
2θ/deg, Rel. int., (hkl)
18.0, 1000, 1 1 0
30.0, 712, 1 0 2
21.9, 680, 0 1 2
16.0, 619, 1 1 -1
34.3, 529, 0 3 1
24.8, 469, 1 2 -1
23.8, 430, 0 2 1
39.5, 392, 1 3 1
52.1, 386, 2 3 -5
30.7, 363, 1 2 1
37.9, 360, 3 0 -4
19.0, 289, 0 0 2

Structural model:
a = 7.575 Å, b = 8.175 Å, c = 11.497 Å
α = 90.00°, β = 125.55°, γ = 90.00°
Space group P2_1/c (No. 14)
Asymmetric unit:
Ag  0.000  0.000  0.000 x2
Hg  0.218  0.145  0.398 x4
Cl  0.011  0.193  0.494 x4
Cl  0.167  0.507  0.371 x4
Cl  0.444  0.074  0.328 x4


Entry 6:
KAgHg2Cl6: computed powder X-ray diffraction pattern (Cu Kα X-rays), based on a DFT-relaxed cell (GGA-PBE, Alexandria).
Peak positions follow from Bragg's law for the DFT cell and can differ from measured ones.

Peak list (12 most intense, 2θ = 15–90°, by intensity)
2θ/deg, Rel. int., (hkl)
18.2, 1000, 0 2 1
21.3, 774, 3 1 0
19.2, 551, 2 2 0
20.0, 427, 2 2 -1
29.5, 370, 4 0 -2
31.3, 359, 2 4 -1
27.1, 307, 2 2 -2
45.0, 290, 1 3 3
44.5, 288, 2 4 -3
30.1, 279, 0 4 1
45.4, 274, 5 3 1
20.8, 266, 3 1 -1

Structural model:
a = 14.076 Å, b = 12.984 Å, c = 7.839 Å
α = 90.00°, β = 110.22°, γ = 90.00°
Space group C2/c (No. 15)
Asymmetric unit:
K  0.000  0.125  0.250 x4
Ag  0.000  0.216  0.750 x4
Hg  0.193  0.427  0.188 x8
Cl  0.117  0.069  0.660 x8
Cl  0.125  0.252  0.060 x8
Cl  0.126  0.427  0.467 x8


Entry 7:
K2AgHgCl5: computed powder X-ray diffraction pattern (Cu Kα X-rays), based on a DFT-relaxed cell (GGA-PBE, Alexandria).
Peak positions follow from Bragg's law for the DFT cell and can differ from measured ones.

Peak list (12 most intense, 2θ = 15–90°, by intensity)
2θ/deg, Rel. int., (hkl)
29.4, 1000, 1 1 3
30.5, 662, 0 6 1
16.4, 424, 0 2 2
26.7, 376, 1 3 1
22.6, 363, 1 1 1
35.4, 272, 1 5 2
40.0, 261, 1 1 5
49.6, 258, 1 7 4
42.9, 257, 2 0 0
53.5, 256, 2 6 1
25.4, 245, 1 1 2
42.5, 225, 1 5 4

Structural model:
a = 4.221 Å, b = 17.995 Å, c = 13.486 Å
α = 90.00°, β = 90.00°, γ = 90.00°
Space group Cmc2_1 (No. 36)
Asymmetric unit:
K  0.000  0.100  0.000 x4
K  0.000  0.134  0.628 x4
Ag  0.000  0.457  0.768 x4
Hg  0.000  0.219  0.346 x4
Cl  0.000  0.070  0.374 x4
Cl  0.000  0.275  0.985 x4
Cl  0.000  0.301  0.713 x4
Cl  0.000  0.363  0.324 x4
Cl  0.000  0.494  0.096 x4


Entry 8:
NaAgHg2Cl8: computed powder X-ray diffraction pattern (Cu Kα X-rays), based on a DFT-relaxed cell (GGA-PBE, Alexandria).
Peak positions follow from Bragg's law for the DFT cell and can differ from measured ones.

Peak list (12 most intense, 2θ = 15–90°, by intensity)
2θ/deg, Rel. int., (hkl)
20.7, 1000, 2 0 0
38.5, 918, 3 1 2
24.2, 898, 1 1 2
25.2, 649, 2 1 1
49.2, 327, 3 3 2
44.5, 258, 2 0 4
42.2, 253, 4 0 0
37.4, 250, 2 1 3
63.0, 162, 4 2 4
47.5, 156, 4 2 0
66.8, 139, 5 3 2
49.6, 136, 2 2 4

Structural model:
a = 8.565 Å, b = 8.565 Å, c = 9.263 Å
α = 90.00°, β = 90.00°, γ = 90.00°
Space group I-4m2 (No. 119)
Asymmetric unit:
Na  0.000  0.000  0.000 x2
Ag  0.000  0.500  0.250 x2
Hg  0.000  0.000  0.500 x2
Hg  0.000  0.500  0.750 x2
Cl  0.000  0.204  0.297 x8
Cl  0.000  0.307  0.950 x8